[1]
This entry pairs a crystal structure of HoHfCuS4 with its simulated powder diffractogram. Radiation: CuKα. Structure: DFT lattice parameters and positions (PBE).
Peak positions follow from Bragg's law for the DFT cell and can differ from measured ones.

Principal peaks in the range 2θ = 15–90°, low angle first:
2θ/deg	I (rel.)
27.6	1000
27.8	325
28.0	699
28.8	261
29.3	263
33.5	347
33.7	693
44.0	462
44.5	265
48.3	877

Structural model:
```
14
Lattice="-3.7194 3.8047 5.3452 3.7194 -3.8047 5.3452 3.7194 3.8047 -5.3452" Properties=species:S:1:pos:R:3 pbc="T T T"
Ho 0.0000 0.0000 0.0000
Ho 0.0000 3.8047 0.0000
Hf -1.8597 1.9024 2.6726
Hf 1.8597 1.9024 2.6726
Cu 3.7194 1.9024 -1.3055
Cu 0.0000 1.9024 6.6507
S 3.7194 0.1053 2.6240
S 1.8950 1.9024 0.1313
S 5.5439 1.9024 0.1313
S 0.0000 0.1053 2.7212
S 3.7194 3.6994 2.6240
S -1.8245 1.9024 5.2139
S 1.8245 1.9024 5.2139
S 0.0000 3.6994 2.7212
```

---

[2]
This entry pairs a crystal structure of Hf4InCu with its simulated powder diffractogram. Radiation: CuKα. Structure: DFT lattice parameters and positions (PBE).
Peak positions follow from Bragg's law for the DFT cell and can differ from measured ones.

Principal peaks in the range 2θ = 15–90°, low angle first:
2θ/deg	I (rel.)
29.3	64
31.8	100
35.7	1000
40.6	465
43.2	93
55.2	91
58.7	129
60.8	118
66.6	95
70.7	294

Structural model:
```
6
Lattice="3.1445 0.0000 0.0000 0.0000 3.1445 0.0000 0.0000 0.0000 12.5481" Properties=species:S:1:pos:R:3 pbc="T T T"
Hf 0.0000 0.0000 1.7670
Hf 0.0000 0.0000 10.7812
Hf 1.5722 1.5722 3.9034
Hf 1.5722 1.5722 8.6447
In 0.0000 0.0000 6.2741
Cu 1.5722 1.5722 0.0000
```

---

[3]
This entry pairs a crystal structure of HfInCu with its simulated powder diffractogram. Radiation: CuKα. Structure: DFT lattice parameters and positions (PBE).
Peak positions follow from Bragg's law for the DFT cell and can differ from measured ones.

Principal peaks in the range 2θ = 15–90°, low angle first:
2θ/deg	I (rel.)
29.8	298
36.0	333
36.6	1000
39.0	461
40.6	337
44.1	161
55.4	191
61.5	119
71.3	140
72.5	142

Structural model:
```
6
Lattice="4.4432 0.0000 0.0000 0.0000 3.1602 0.0000 0.0000 0.0000 8.1182" Properties=species:S:1:pos:R:3 pbc="T T T"
Hf 1.1108 0.0000 1.6350
Hf 3.3324 0.0000 6.4832
In 1.1108 1.5801 4.9096
In 3.3324 1.5801 3.2086
Cu 1.1108 1.5801 7.5248
Cu 3.3324 1.5801 0.5935
```

---

[4]
This entry pairs a crystal structure of Hf6InCu with its simulated powder diffractogram. Radiation: CuKα. Structure: DFT lattice parameters and positions (PBE).
Peak positions follow from Bragg's law for the DFT cell and can differ from measured ones.

Principal peaks in the range 2θ = 15–90°, low angle first:
2θ/deg	I (rel.)
22.9	89
32.6	199
36.5	1000
40.2	449
58.1	136
60.7	233
63.3	233
68.2	125
77.6	64
79.9	212

Structural model:
```
8
Lattice="3.8881 2.2448 3.1765 -3.8881 2.2448 3.1765 0.0000 -4.4896 3.1765" Properties=species:S:1:pos:R:3 pbc="T T T"
Hf -2.8975 -0.5643 3.9605
Hf -0.9601 -2.7915 5.5689
Hf 1.9375 -2.2272 3.9605
Hf -1.9375 2.2272 5.5689
Hf 0.9601 2.7915 3.9605
Hf 2.8975 0.5643 5.5689
In 0.0000 0.0000 0.0000
Cu 0.0000 0.0000 4.7647
```

---

[5]
This entry pairs a crystal structure of HfInCu5 with its simulated powder diffractogram. Radiation: CuKα. Structure: DFT lattice parameters and positions (PBE).
Peak positions follow from Bragg's law for the DFT cell and can differ from measured ones.

Principal peaks in the range 2θ = 15–90°, low angle first:
2θ/deg	I (rel.)
31.4	384
33.4	225
35.8	469
37.0	395
37.7	303
38.8	870
39.4	1000
44.4	606
45.2	395
46.8	396

Structural model:
```
28
Lattice="8.0235 0.0000 0.0000 0.0000 4.8592 0.0000 0.0000 0.0000 10.5537" Properties=species:S:1:pos:R:3 pbc="T T T"
Hf 1.9416 1.2148 0.7069
Hf 2.0701 3.6444 5.9837
Hf 5.9534 1.2148 4.5699
Hf 6.0818 3.6444 9.8468
In 1.0747 1.2148 3.8092
In 2.9370 3.6444 9.0861
In 5.0865 1.2148 1.4676
In 6.9487 3.6444 6.7444
Cu 0.3937 1.2148 6.2991
Cu 0.5500 2.4419 8.5818
Cu 0.5500 4.8469 8.5818
Cu 0.6889 3.6444 0.1750
Cu 1.5185 3.6444 2.4818
Cu 2.4932 1.2148 7.7586
Cu 3.3229 1.2148 5.4518
Cu 3.4617 0.0123 3.3050
Cu 3.4617 2.4173 3.3050
Cu 3.6180 3.6444 1.0223
Cu 4.4054 1.2148 9.5314
Cu 4.5617 2.4419 7.2487
Cu 4.5617 4.8469 7.2487
Cu 4.7006 3.6444 5.1018
Cu 5.5303 3.6444 2.7950
Cu 6.5049 1.2148 8.0718
Cu 7.3346 1.2148 10.3787
Cu 7.4734 0.0123 1.9718
Cu 7.4734 2.4173 1.9718
Cu 7.6297 3.6444 4.2545
```

---

[6]
This entry pairs a crystal structure of Hf2Cu2Ir with its simulated powder diffractogram. Radiation: CuKα. Structure: DFT lattice parameters and positions (PBE).
Peak positions follow from Bragg's law for the DFT cell and can differ from measured ones.

Principal peaks in the range 2θ = 15–90°, low angle first:
2θ/deg	I (rel.)
15.5	110
26.8	466
36.1	1000
43.5	838
44.7	407
57.8	259
59.6	118
75.0	161
80.7	95
81.6	125

Structural model:
```
10
Lattice="7.1929 0.0000 0.0000 0.0000 4.1628 0.0000 -2.4064 0.0000 5.7306" Properties=species:S:1:pos:R:3 pbc="T T T"
Hf -0.0051 0.0000 1.6105
Hf 1.1951 2.0814 4.1201
Hf 3.5914 2.0814 1.6105
Hf 4.7915 0.0000 4.1201
Cu -1.2058 2.0814 5.5972
Cu 2.3959 0.0000 0.1334
Cu 2.3906 0.0000 5.5972
Cu 5.9923 2.0814 0.1334
Ir -1.2032 2.0814 2.8653
Ir 2.3932 0.0000 2.8653
```

---

[7]
This entry pairs a crystal structure of Hf3Cu2Ir with its simulated powder diffractogram. Radiation: CuKα. Structure: DFT lattice parameters and positions (PBE).
Peak positions follow from Bragg's law for the DFT cell and can differ from measured ones.

Principal peaks in the range 2θ = 15–90°, low angle first:
2θ/deg	I (rel.)
22.4	80
27.4	198
39.0	1000
39.3	984
56.5	339
70.4	178
71.0	342
71.2	170
83.7	113
84.4	109

Structural model:
```
6
Lattice="4.5899 0.0000 0.0000 -2.2950 3.9750 0.0000 0.0000 0.0000 5.6779" Properties=species:S:1:pos:R:3 pbc="T T T"
Hf 0.0000 0.0000 0.0000
Hf 0.0000 2.6500 3.7699
Hf 2.2950 1.3250 1.9079
Cu 0.0000 2.6500 0.8239
Cu 2.2950 1.3250 4.8540
Ir 0.0000 0.0000 2.8389
```

---

[8]
This entry pairs a crystal structure of HfTiCuIr with its simulated powder diffractogram. Radiation: CuKα. Structure: DFT lattice parameters and positions (PBE).
Peak positions follow from Bragg's law for the DFT cell and can differ from measured ones.

Principal peaks in the range 2θ = 15–90°, low angle first:
2θ/deg	I (rel.)
24.2	320
28.0	7
40.0	1000
47.3	171
57.9	168
63.6	74
72.7	338
77.9	57
86.3	109

Structural model:
```
16
Lattice="6.3752 0.0000 0.0000 0.0000 6.3752 0.0000 0.0000 0.0000 6.3752" Properties=species:S:1:pos:R:3 pbc="T T T"
Hf 0.0000 0.0000 0.0000
Hf 0.0000 3.1876 3.1876
Hf 3.1876 0.0000 3.1876
Hf 3.1876 3.1876 0.0000
Ti 0.0000 0.0000 3.1876
Ti 0.0000 3.1876 0.0000
Ti 3.1876 0.0000 0.0000
Ti 3.1876 3.1876 3.1876
Cu 1.5938 1.5938 4.7814
Cu 1.5938 4.7814 1.5938
Cu 4.7814 1.5938 1.5938
Cu 4.7814 4.7814 4.7814
Ir 1.5938 1.5938 1.5938
Ir 1.5938 4.7814 4.7814
Ir 4.7814 1.5938 4.7814
Ir 4.7814 4.7814 1.5938
```

---

[9]
This entry pairs a crystal structure of KHfCuS3 with its simulated powder diffractogram. Radiation: CuKα. Structure: DFT lattice parameters and positions (PBE).
Peak positions follow from Bragg's law for the DFT cell and can differ from measured ones.

Principal peaks in the range 2θ = 15–90°, low angle first:
2θ/deg	I (rel.)
24.5	599
29.9	402
31.5	429
31.9	1000
32.9	819
38.0	595
39.9	344
47.1	499
48.5	341
50.2	383

Structural model:
```
12
Lattice="8.4907 0.0000 0.0000 0.0000 3.7518 0.0000 -3.3402 0.0000 8.5133" Properties=species:S:1:pos:R:3 pbc="T T T"
K 1.0229 0.9380 2.1698
K 4.1276 2.8139 6.3435
Hf -0.1129 2.8139 7.1157
Hf 5.2633 0.9380 1.3976
Cu -1.2929 0.9380 5.1141
Cu 6.4433 2.8139 3.3993
S -1.8418 0.9380 7.3532
S 0.0509 2.8139 4.6329
S 3.4733 2.8139 1.2422
S 1.6772 0.9380 7.2711
S 5.0995 0.9380 3.8804
S 6.9923 2.8139 1.1601
```

---

[10]
This entry pairs a crystal structure of K3Hf3CuSe8 with its simulated powder diffractogram. Radiation: CuKα. Structure: DFT lattice parameters and positions (PBE).
Peak positions follow from Bragg's law for the DFT cell and can differ from measured ones.

Principal peaks in the range 2θ = 15–90°, low angle first:
2θ/deg	I (rel.)
26.7	132
30.6	1000
37.9	309
40.9	324
46.6	352
48.1	173
50.8	175
56.7	168
76.4	138
78.7	97

Structural model:
```
15
Lattice="6.7534 -3.9014 0.0000 6.7534 3.9014 0.0000 -4.4969 0.0000 7.7774" Properties=species:S:1:pos:R:3 pbc="T T T"
K 0.0000 0.0000 0.0000
K 3.3767 1.9507 0.0000
K 3.3767 -1.9507 0.0000
Hf 1.1283 1.9507 3.8887
Hf 1.1283 -1.9507 3.8887
Hf 4.5050 0.0000 3.8887
Cu -2.2485 0.0000 3.8887
Se 0.0358 0.0000 5.3588
Se 3.3596 1.9143 5.3622
Se 2.2533 0.0000 2.3357
Se 5.6503 1.9143 2.4152
Se 3.3596 -1.9143 5.3622
Se 6.7567 0.0000 5.4417
Se 5.6503 -1.9143 2.4152
Se 8.9741 0.0000 2.4186
```

---

[11]
This entry pairs a crystal structure of K3Hf2CuSe6 with its simulated powder diffractogram. Radiation: CuKα. Structure: DFT lattice parameters and positions (PBE).
Peak positions follow from Bragg's law for the DFT cell and can differ from measured ones.

Principal peaks in the range 2θ = 15–90°, low angle first:
2θ/deg	I (rel.)
30.1	1000
30.6	469
37.9	235
38.3	124
41.1	295
41.2	165
45.0	174
45.7	339
51.5	206
55.4	169

Structural model:
```
12
Lattice="3.4196 -6.0437 0.0000 3.4196 6.0437 0.0000 -2.2446 0.0000 7.5842" Properties=species:S:1:pos:R:3 pbc="T T T"
K 0.0000 0.0000 0.0000
K 3.4196 1.9384 0.0000
K 3.4196 -1.9384 0.0000
Hf 2.2973 4.0129 3.7921
Hf 2.2973 -4.0129 3.7921
Cu 2.2973 0.0000 3.7921
Se 1.1100 2.1033 2.2957
Se 0.0251 0.0000 5.2020
Se 1.1100 -2.1033 2.2957
Se 3.4846 2.1033 5.2885
Se 4.5695 0.0000 2.3822
Se 3.4846 -2.1033 5.2885
```

---

[12]
This entry pairs a crystal structure of K3Hf3CuTe8 with its simulated powder diffractogram. Radiation: CuKα. Structure: DFT lattice parameters and positions (PBE).
Peak positions follow from Bragg's law for the DFT cell and can differ from measured ones.

Principal peaks in the range 2θ = 15–90°, low angle first:
2θ/deg	I (rel.)
28.4	1000
28.7	423
35.2	172
35.3	279
37.5	270
38.8	162
42.4	180
43.9	394
46.6	193
52.0	170

Structural model:
```
15
Lattice="8.2552 0.0000 0.0000 3.8547 7.3039 0.0000 3.8615 2.3220 8.3790" Properties=species:S:1:pos:R:3 pbc="T T T"
K 0.0000 0.0000 0.0000
K 1.9274 3.6519 0.0000
K 4.1276 0.0000 0.0000
Hf 3.8581 4.8130 4.1895
Hf 6.0584 1.1610 4.1895
Hf 7.9857 4.8130 4.1895
Cu 1.9308 1.1610 4.1895
Te 3.8139 2.2984 2.6871
Te 5.9055 5.9254 2.5322
Te 5.9337 3.5747 5.8770
Te 7.9612 7.1788 5.8387
Te 8.0103 2.4471 2.5404
Te 10.0378 6.0512 2.5021
Te 10.0659 3.7006 5.8468
Te 12.1575 7.3276 5.6919
```